Entry 1:
# CsGd2CuTeSe3
Calculated powder diffractogram, Cu Kα (λ = 1.5418 Å). Input: a DFT-relaxed cell (GGA-PBE, OQMD).
Kinematic intensities with the Lorentz-polarization factor, no thermal factor.

Cell and atoms:
a = 4.264 Å, b = 14.900 Å, c = 14.930 Å
α = 90.00°, β = 90.00°, γ = 90.00°
Space group Cmcm (No. 63)
One atom of each set of equivalent atoms:
Cs  0.000  0.121  0.250
Gd  0.000  0.366  0.055
Cu  0.000  0.170  0.750
Te  0.000  0.429  0.250
Se  0.000  0.000  0.000
Se  0.000  0.255  0.605

Main lines, in order of rising 2θ (10 to 90 degrees two-theta):
| 2θ (°) | Rel. int. | index |
| --- | --- | --- |
| 13.28 | 252 | 0 2 1 |
| 21.47 | 290 | 0 2 3 |
| 23.86 | 348 | 0 0 4 |
| 26.72 | 239 | 0 2 4 |
| 28.22 | 826 | 1 3 1 |
| 30.11 | 1000 | 1 3 2 |
| 37.26 | 334 | 1 1 5 |
| 40.60 | 233 | 0 6 3 |
| 41.16 | 699 | 1 5 3 |
| 42.40 | 351 | 2 0 0 |

Entry 2:
# CsGd2CuTe3Se
Calculated powder diffractogram, Cu Kα (λ = 1.5418 Å). Input: a DFT-relaxed cell (GGA-PBE, OQMD).
Kinematic intensities with the Lorentz-polarization factor, no thermal factor.

Cell and atoms:
a = 4.380 Å, b = 15.541 Å, c = 15.232 Å
α = 90.00°, β = 90.00°, γ = 90.00°
Space group Cmcm (No. 63)
One atom of each set of equivalent atoms:
Cs  0.000  0.098  0.250
Gd  0.000  0.367  0.071
Cu  0.000  0.161  0.750
Te  0.000  0.000  0.000
Te  0.000  0.264  0.611
Se  0.000  0.421  0.250

Main lines, in order of rising 2θ (10 to 90 degrees two-theta):
| 2θ (°) | Rel. int. | index |
| --- | --- | --- |
| 20.90 | 337 | 0 2 3 |
| 26.06 | 523 | 0 2 4 |
| 26.65 | 299 | 1 3 0 |
| 27.30 | 1000 | 1 3 1 |
| 29.16 | 731 | 1 3 2 |
| 31.66 | 249 | 1 1 4 |
| 36.39 | 253 | 1 1 5 |
| 39.74 | 651 | 1 5 3 |
| 41.22 | 407 | 2 0 0 |
| 49.41 | 241 | 2 2 4 |